The following is a theoretical X-ray diffraction stick pattern of La4CdCoAu. It was derived from a DFT-relaxed cell (GGA-PBE, Alexandria), using CuKα.
Lines closer than 0.1° are merged.

Crystal structure
```
La4CdCoAu
1.0
3.638 -8.054 0.000
3.638 8.054 0.000
0.000 0.000 7.340
La Cd Co Au
8 2 2 2
direct
0.000 0.500 0.000 La
0.000 0.500 0.500 La
0.062 0.938 0.750 La
0.424 0.576 0.750 La
0.500 0.000 0.000 La
0.500 0.000 0.500 La
0.576 0.424 0.250 La
0.938 0.062 0.250 La
0.385 0.615 0.250 Cd
0.615 0.385 0.750 Cd
0.245 0.755 0.750 Co
0.755 0.245 0.250 Co
0.123 0.877 0.250 Au
0.877 0.123 0.750 Au
```

Top 10 peaks for 2θ from 15° to 90°, in order of rising 2θ:
2theta, I (rel.)
24.25, 21
26.69, 38
26.89, 37
32.76, 60
33.02, 43
33.19, 43
33.38, 25
34.72, 100
48.93, 33
61.04, 25